Simulated XRD peak list of BaInGa3 for Cu Kα X-rays, from a structure optimized by DFT (GGA-PBE).
Peak positions follow from Bragg's law for the DFT cell and can differ from measured ones.

Crystal structure
Cell lengths 4.7911, 4.7911, 6.4872 Å; angles 111.52, 111.52, 90.03 degrees
Fractional positions:
Ba (0.0000, 0.0000, 0.0000)
In (0.6228, 0.6228, 0.2452)
Ga (0.2587, 0.7599, 0.5188)
Ga (0.3704, 0.3704, 0.7411)
Ga (0.7599, 0.2587, 0.5188)

Most intense lines, 2θ from 10° to 90°, in order of rising 2θ:
26.31 deg, I 31; 30.54 deg, I 100; 30.91 deg, I 80; 30.99 deg, I 27; 37.55 deg, I 87; 45.04 deg, I 33; 49.12 deg, I 39; 54.14 deg, I 29; 63.65 deg, I 20; 80.09 deg, I 18

Simulated XRD peak list of Cs2SnH6Pb for Cu Kα X-rays, from a structure optimized by DFT (GGA-PBE).
Peak positions follow from Bragg's law for the DFT cell and can differ from measured ones.

Crystal structure
Cell lengths 6.4237, 6.4140, 6.3929 Å; angles 60.21, 60.06, 59.73 degrees
Fractional positions:
Cs (0.2500, 0.2500, 0.2500)
Cs (0.7500, 0.7500, 0.7500)
Sn (0.0000, 0.0000, 0.0000)
H (0.2309, 0.2309, 0.7691)
H (0.2310, 0.7690, 0.2310)
H (0.2317, 0.7683, 0.7683)
H (0.7683, 0.2317, 0.2317)
H (0.7690, 0.2310, 0.7690)
H (0.7691, 0.7691, 0.2309)
Pb (0.5000, 0.5000, 0.5000)

Most intense lines, 2θ from 10° to 90°, in order of rising 2θ:
27.80 deg, I 100; 27.91 deg, I 49; 39.55 deg, I 10; 39.82 deg, I 10; 39.95 deg, I 10; 49.10 deg, I 21; 49.31 deg, I 42; 57.43 deg, I 14; 78.81 deg, I 11; 79.18 deg, I 11

Simulated XRD peak list of LiMg2In for Cu Kα X-rays, from a structure optimized by DFT (GGA-PBE).
Peak positions follow from Bragg's law for the DFT cell and can differ from measured ones.

Crystal structure
Cell lengths 6.0177, 6.0177, 3.0958 Å; angles 103.00, 103.00, 118.81 degrees
Fractional positions:
Li (0.0000, 0.0000, 0.0000)
Mg (0.0000, 0.5000, 0.5000)
Mg (0.5000, 0.0000, 0.5000)
In (0.5000, 0.5000, 0.0000)

Most intense lines, 2θ from 10° to 90°, in order of rising 2θ:
17.12 deg, I 22; 18.28 deg, I 100; 30.20 deg, I 29; 30.58 deg, I 29; 34.30 deg, I 25; 34.63 deg, I 25; 36.72 deg, I 42; 37.04 deg, I 41; 49.54 deg, I 17; 63.44 deg, I 16